Starting from the PBE+U geometry in the Materials Project, the X-ray diffraction stick pattern of Li2MnFeB2O6 was simulated for Cu Kα.
Intensities are scaled so that the largest is 100.

Most intense lines, 2θ from 10° to 80°, in order of rising 2θ:
- 21.54°, d = 4.126 Å, I = 100
- 30.90°, d = 2.894 Å, I = 17
- 33.16°, d = 2.702 Å, I = 15
- 35.75°, d = 2.511 Å, I = 79
- 37.73°, d = 2.384 Å, I = 21
- 47.79°, d = 1.903 Å, I = 28
- 52.96°, d = 1.729 Å, I = 17
- 54.60°, d = 1.681 Å, I = 12

Crystal structure
Cell lengths 8.244, 3.165, 14.309 Å; angles 90.00, 90.15, 90.00 degrees
Space group Pm (No. 6)
Inequivalent atoms, fractional coordinates:
Li: 0.000 0.000 0.000 (multiplicity 1)
Li: 0.026 0.000 0.293 (multiplicity 1)
Li: 0.074 0.000 0.659 (multiplicity 1)
Li: 0.499 0.000 0.500 (multiplicity 1)
Li: 0.525 0.000 0.793 (multiplicity 1)
Li: 0.574 0.000 0.160 (multiplicity 1)
Mn: 0.233 0.500 0.145 (multiplicity 1)
Mn: 0.675 0.500 0.971 (multiplicity 1)
Mn: 0.734 0.500 0.644 (multiplicity 1)
Fe: 0.179 0.500 0.470 (multiplicity 1)
Fe: 0.191 0.500 0.834 (multiplicity 1)
Fe: 0.692 0.500 0.335 (multiplicity 1)
B: 0.365 0.000 0.983 (multiplicity 1)
B: 0.366 0.500 0.651 (multiplicity 1)
B: 0.368 0.000 0.318 (multiplicity 1)
B: 0.867 0.500 0.152 (multiplicity 1)
B: 0.868 0.000 0.483 (multiplicity 1)
B: 0.869 0.000 0.817 (multiplicity 1)
O: 0.004 0.500 0.209 (multiplicity 1)
O: 0.021 0.000 0.860 (multiplicity 1)
O: 0.022 0.000 0.523 (multiplicity 1)
O: 0.213 0.500 0.692 (multiplicity 1)
O: 0.228 0.000 0.039 (multiplicity 1)
O: 0.229 0.000 0.373 (multiplicity 1)
O: 0.349 0.000 0.886 (multiplicity 1)
O: 0.356 0.000 0.222 (multiplicity 1)
O: 0.380 0.500 0.554 (multiplicity 1)
O: 0.504 0.500 0.707 (multiplicity 1)
O: 0.518 0.000 0.025 (multiplicity 1)
O: 0.520 0.000 0.361 (multiplicity 1)
O: 0.713 0.500 0.193 (multiplicity 1)
O: 0.729 0.000 0.871 (multiplicity 1)
O: 0.730 0.000 0.539 (multiplicity 1)
O: 0.850 0.000 0.386 (multiplicity 1)
O: 0.858 0.000 0.721 (multiplicity 1)
O: 0.884 0.500 0.055 (multiplicity 1)